The following is a simulated powder diffraction line list of SiI2. It was derived from a structure optimized by DFT (PBE), using copper Kα.
Intensities are scaled so that the largest is 100.

```
SiI2
1.0
11.592 0.000 0.000
0.000 17.017 0.000
-8.598 0.000 14.996
Si I
20 40
direct
0.061 0.185 0.465 Si
0.061 0.315 0.965 Si
0.062 0.174 0.961 Si
0.062 0.326 0.461 Si
0.269 0.146 0.481 Si
0.269 0.354 0.981 Si
0.292 0.135 0.021 Si
0.292 0.365 0.521 Si
0.420 0.246 0.569 Si
0.420 0.254 0.069 Si
0.580 0.746 0.931 Si
0.580 0.754 0.431 Si
0.708 0.635 0.479 Si
0.708 0.865 0.979 Si
0.731 0.646 0.019 Si
0.731 0.854 0.519 Si
0.938 0.674 0.539 Si
0.938 0.826 0.039 Si
0.939 0.685 0.035 Si
0.939 0.815 0.535 Si
0.029 0.620 0.448 I
0.029 0.880 0.948 I
0.056 0.141 0.599 I
0.056 0.359 0.099 I
0.074 0.629 0.694 I
0.074 0.871 0.194 I
0.126 0.628 0.169 I
0.126 0.872 0.669 I
0.245 0.155 0.331 I
0.245 0.345 0.831 I
0.324 0.075 0.903 I
0.324 0.425 0.403 I
0.339 0.013 0.544 I
0.339 0.487 0.044 I
0.367 0.043 0.147 I
0.367 0.457 0.647 I
0.381 0.749 0.448 I
0.381 0.751 0.948 I
0.482 0.220 0.725 I
0.482 0.280 0.225 I
0.518 0.720 0.775 I
0.518 0.780 0.275 I
0.619 0.249 0.052 I
0.619 0.251 0.552 I
0.633 0.543 0.353 I
0.633 0.957 0.853 I
0.661 0.513 0.956 I
0.661 0.987 0.456 I
0.676 0.575 0.597 I
0.676 0.925 0.097 I
0.755 0.655 0.169 I
0.755 0.845 0.669 I
0.874 0.128 0.331 I
0.874 0.372 0.831 I
0.926 0.129 0.806 I
0.926 0.371 0.306 I
0.944 0.641 0.901 I
0.944 0.859 0.401 I
0.971 0.120 0.052 I
0.971 0.380 0.552 I
```

Principal peaks in the range 2θ from 15° to 90°, by intensity:
23.7°, intensity 100, hkl 2 3 0; 22.7°, intensity 92, hkl 1 4 0; 23.1°, intensity 63, hkl 3 0 -2; 26.1°, intensity 45, hkl 1 3 -4; 24.1°, intensity 41, hkl 1 1 3; 26.2°, intensity 40, hkl 2 4 -2